Diffraction record for DyEr6Tl5. The powder diffractogram is simulated, not measured: it uses a PBE-relaxed structure and Cu Kα (weighted mean of Kα1 and Kα2).
Intensities are scaled so that the largest is 100.

The 10 most intense peaks (10° ≤ 2θ ≤ 90°), low angle first:
2θ (°)  I (rel.)
32.53  100
35.65  18
36.10  20
41.24  13
51.64  13
55.95  11
62.08  12
62.66  16
68.13  10
69.70  9

Atomic structure:
Lattice parameters (Å, degrees): 9.0793 9.0793 9.0793 148.19 122.35 67.37
Fractional coordinates of all 12 atoms:
Dy 0.0000 0.0000 0.0000
Er 0.0943 0.8302 0.2641
Er 0.2750 0.5000 0.7750
Er 0.4340 0.1698 0.2641
Er 0.5661 0.8302 0.7359
Er 0.7250 0.5000 0.2250
Er 0.9057 0.1698 0.7359
Tl 0.1470 0.6470 0.5000
Tl 0.3196 0.3196 0.0000
Tl 0.5000 0.0000 0.5000
Tl 0.6804 0.6804 0.0000
Tl 0.8530 0.3530 0.5000